Ac2TbHoS6: theoretical X-ray diffraction stick pattern (Cu Kα), based on a cell relaxed with PBE.

The 12 most intense peaks (10 to 80 degrees two-theta), in order of rising 2θ:
h k l	2θ (°)	I_rel
0 1 2	17.04	23.8
1 0 4	23.86	100.0
1 1 0	24.50	98.3
0 2 4	34.46	53.7
1 1 6	38.26	42.7
2 1 4	42.74	50.9
3 0 0	43.13	39.0
2 2 0	50.22	17.1
1 0 10	51.43	15.7
4 -3 4	56.33	18.3
3 -1 10	63.68	15.0
5 -2 4	68.02	15.4

Structure:
```
data_Ac2TbHoS6
_cell_length_a 7.2662
_cell_length_b 7.2662
_cell_length_c 18.5225
_cell_angle_alpha 90.00
_cell_angle_beta 90.00
_cell_angle_gamma 120.00
_symmetry_space_group_name_H-M 'R 3'
_symmetry_Int_Tables_number 146
_symmetry_space_group_name_Hall 'R 3'
loop_
_atom_site_label
_atom_site_type_symbol
_atom_site_fract_x
_atom_site_fract_y
_atom_site_fract_z
Ac1 Ac 0.0000 0.0000 0.0000
Ac2 Ac 0.0000 0.0000 0.4998
Tb1 Tb 0.0000 0.0000 0.2148
Ho1 Ho 0.0000 0.0000 0.7144
S1 S 0.0660 0.7135 0.7849
S2 S 0.0672 0.3556 0.2855
```